[1]
This entry pairs a crystal structure of DyGaCo with its calculated powder XRD pattern. Radiation: Cu Ka. Structure: a cell relaxed with PBE.
Kinematic intensities with the Lorentz-polarization factor, no thermal factor.

Main lines, in order of rising 2θ (15° ≤ 2θ ≤ 90°):
d [Å], I/Imax
3.707, 24
2.547, 100
2.531, 59
2.459, 29
2.214, 22
2.197, 39
2.186, 16
2.038, 32
1.639, 23
1.559, 14
1.549, 13
1.324, 27

Structure:
```
data_DyGaCo
_cell_length_a 7.011
_cell_length_b 4.394
_cell_length_c 6.902
_cell_angle_alpha 90.00
_cell_angle_beta 90.00
_cell_angle_gamma 90.00
_symmetry_space_group_name_H-M 'P n m a'
_symmetry_Int_Tables_number 62
_symmetry_space_group_name_Hall '-P 2ac 2n'
loop_
_atom_site_label
_atom_site_type_symbol
_atom_site_fract_x
_atom_site_fract_y
_atom_site_fract_z
Dy1 Dy 0.019 0.250 0.196
Ga1 Ga 0.195 0.250 0.604
Co1 Co 0.158 0.750 0.434
```

[2]
This entry pairs a crystal structure of Dy2Ga8Co with its calculated powder XRD pattern. Radiation: Cu Ka. Structure: a cell relaxed with PBE.
Kinematic intensities with the Lorentz-polarization factor, no thermal factor.

Main lines, in order of rising 2θ (15° ≤ 2θ ≤ 90°):
d [Å], I/Imax
4.255, 22
2.789, 13
2.644, 55
2.333, 100
2.216, 23
2.127, 59
1.535, 29
1.504, 19
1.307, 12
1.264, 27
1.258, 13
1.245, 14

Structure:
```
data_Dy2Ga8Co
_cell_length_a 4.255
_cell_length_b 4.255
_cell_length_c 11.079
_cell_angle_alpha 90.00
_cell_angle_beta 90.00
_cell_angle_gamma 90.00
_symmetry_space_group_name_H-M 'P 4/m m m'
_symmetry_Int_Tables_number 123
_symmetry_space_group_name_Hall '-P 4 2'
loop_
_atom_site_label
_atom_site_type_symbol
_atom_site_fract_x
_atom_site_fract_y
_atom_site_fract_z
Dy1 Dy 0.000 0.000 0.195
Ga1 Ga 0.000 0.500 0.000
Ga2 Ga 0.000 0.500 0.384
Ga3 Ga 0.500 0.500 0.197
Co1 Co 0.000 0.000 0.500
```

[3]
This entry pairs a crystal structure of Dy3GaCoS7 with its calculated powder XRD pattern. Radiation: Cu Ka. Structure: a cell relaxed with PBE.
Kinematic intensities with the Lorentz-polarization factor, no thermal factor.

Main lines, in order of rising 2θ (15° ≤ 2θ ≤ 90°):
d [Å], I/Imax
4.925, 23
3.427, 100
3.123, 19
3.067, 15
2.513, 26
2.462, 32
2.385, 36
2.188, 21
2.147, 16
1.882, 16
1.833, 29
1.730, 16

Structure:
```
data_Dy3GaCoS7
_cell_length_a 9.5408
_cell_length_b 9.5408
_cell_length_c 6.1336
_cell_angle_alpha 90.00
_cell_angle_beta 90.00
_cell_angle_gamma 120.00
_symmetry_space_group_name_H-M 'P 63'
_symmetry_Int_Tables_number 173
_symmetry_space_group_name_Hall 'P 6c'
loop_
_atom_site_label
_atom_site_type_symbol
_atom_site_fract_x
_atom_site_fract_y
_atom_site_fract_z
Dy1 Dy 0.1545 0.3733 0.0000
Ga1 Ga 0.3333 0.6667 0.5717
Co1 Co 0.0000 0.0000 0.1660
S1 S 0.0857 0.5669 0.7295
S2 S 0.0956 0.2236 0.4095
S3 S 0.3333 0.6667 0.2049
```

[4]
This entry pairs a crystal structure of Dy3Co4Ge13 with its calculated powder XRD pattern. Radiation: Cu Ka. Structure: a cell relaxed with PBE.
Kinematic intensities with the Lorentz-polarization factor, no thermal factor.

Main lines, in order of rising 2θ (15° ≤ 2θ ≤ 90°):
d [Å], I/Imax
3.925, 14
2.534, 9
2.434, 100
2.346, 38
2.194, 25
2.129, 9
1.792, 9
1.630, 10
1.505, 12
1.424, 15
1.323, 14
1.206, 9

Structure:
```
data_Dy3Co4Ge13
_cell_length_a 8.777
_cell_length_b 8.777
_cell_length_c 8.777
_cell_angle_alpha 90.00
_cell_angle_beta 90.00
_cell_angle_gamma 90.00
_symmetry_space_group_name_H-M 'P m -3 n'
_symmetry_Int_Tables_number 223
_symmetry_space_group_name_Hall '-P 4n 2 3'
loop_
_atom_site_label
_atom_site_type_symbol
_atom_site_fract_x
_atom_site_fract_y
_atom_site_fract_z
Dy1 Dy 0.000 0.250 0.500
Co1 Co 0.250 0.250 0.250
Ge1 Ge 0.000 0.000 0.000
Ge2 Ge 0.000 0.303 0.153
```

[5]
This entry pairs a crystal structure of DyCoGe with its calculated powder XRD pattern. Radiation: Cu Ka. Structure: a cell relaxed with PBE.
Kinematic intensities with the Lorentz-polarization factor, no thermal factor.

Main lines, in order of rising 2θ (15° ≤ 2θ ≤ 90°):
d [Å], I/Imax
3.646, 22
2.528, 65
2.519, 100
2.474, 26
2.221, 20
2.205, 22
2.132, 37
2.054, 30
1.615, 14
1.538, 14
1.533, 14
1.331, 20

Structure:
```
data_DyCoGe
_cell_length_a 6.967
_cell_length_b 4.264
_cell_length_c 7.031
_cell_angle_alpha 90.00
_cell_angle_beta 90.00
_cell_angle_gamma 90.00
_symmetry_space_group_name_H-M 'P n m a'
_symmetry_Int_Tables_number 62
_symmetry_space_group_name_Hall '-P 2ac 2n'
loop_
_atom_site_label
_atom_site_type_symbol
_atom_site_fract_x
_atom_site_fract_y
_atom_site_fract_z
Dy1 Dy 0.018 0.250 0.193
Co1 Co 0.147 0.750 0.438
Ge1 Ge 0.200 0.250 0.608
```

[6]
This entry pairs a crystal structure of Dy2CoGe2 with its calculated powder XRD pattern. Radiation: Cu Ka. Structure: a cell relaxed with PBE.
Kinematic intensities with the Lorentz-polarization factor, no thermal factor.

Main lines, in order of rising 2θ (15° ≤ 2θ ≤ 90°):
d [Å], I/Imax
3.309, 30
2.672, 100
2.639, 20
2.618, 81
2.606, 36
2.411, 42
2.240, 27
2.194, 53
2.114, 49
1.654, 19
1.538, 25
1.406, 23

Structure:
```
data_Dy2CoGe2
_cell_length_a 10.439
_cell_length_b 4.229
_cell_length_c 10.133
_cell_angle_alpha 90.00
_cell_angle_beta 117.83
_cell_angle_gamma 90.00
_symmetry_space_group_name_H-M 'C 1 2/m 1'
_symmetry_Int_Tables_number 12
_symmetry_space_group_name_Hall '-C 2y'
loop_
_atom_site_label
_atom_site_type_symbol
_atom_site_fract_x
_atom_site_fract_y
_atom_site_fract_z
Dy1 Dy 0.005 0.000 0.333
Dy2 Dy 0.185 0.000 0.110
Co1 Co 0.228 0.500 0.356
Ge1 Ge 0.013 0.500 0.874
Ge2 Ge 0.156 0.500 0.566
```

[7]
This entry pairs a crystal structure of Dy2CoGe6 with its calculated powder XRD pattern. Radiation: Cu Ka. Structure: a cell relaxed with PBE.
Kinematic intensities with the Lorentz-polarization factor, no thermal factor.

Main lines, in order of rising 2θ (15° ≤ 2θ ≤ 90°):
d [Å], I/Imax
3.491, 12
2.679, 38
2.649, 100
2.430, 11
2.374, 23
2.086, 12
2.045, 17
2.033, 24
2.001, 22
1.603, 16
1.442, 11
1.426, 15

Structure:
```
data_Dy2CoGe6
_cell_length_a 4.066
_cell_length_b 4.003
_cell_length_c 21.405
_cell_angle_alpha 90.00
_cell_angle_beta 90.00
_cell_angle_gamma 90.00
_symmetry_space_group_name_H-M 'A m m 2'
_symmetry_Int_Tables_number 38
_symmetry_space_group_name_Hall 'A 2 -2'
loop_
_atom_site_label
_atom_site_type_symbol
_atom_site_fract_x
_atom_site_fract_y
_atom_site_fract_z
Dy1 Dy 0.000 0.000 0.000
Dy2 Dy 0.000 0.000 0.336
Co1 Co 0.500 0.000 0.559
Ge1 Ge 0.000 0.000 0.613
Ge2 Ge 0.000 0.000 0.731
Ge3 Ge 0.500 0.000 0.114
Ge4 Ge 0.500 0.000 0.232
Ge5 Ge 0.500 0.000 0.452
Ge6 Ge 0.500 0.000 0.877
```

[8]
This entry pairs a crystal structure of DyCo6Ge6 with its calculated powder XRD pattern. Radiation: Cu Ka. Structure: a cell relaxed with PBE.
Kinematic intensities with the Lorentz-polarization factor, no thermal factor.

Main lines, in order of rising 2θ (15° ≤ 2θ ≤ 90°):
d [Å], I/Imax
2.544, 71
2.256, 39
2.203, 55
2.137, 100
1.969, 24
1.923, 44
1.827, 21
1.469, 20
1.406, 17
1.376, 23
1.272, 36
1.167, 26

Structure:
```
data_DyCo6Ge6
_cell_length_a 5.0884
_cell_length_b 5.0884
_cell_length_c 7.8771
_cell_angle_alpha 90.00
_cell_angle_beta 90.00
_cell_angle_gamma 120.00
_symmetry_space_group_name_H-M 'P 6/m m m'
_symmetry_Int_Tables_number 191
_symmetry_space_group_name_Hall '-P 6 2'
loop_
_atom_site_label
_atom_site_type_symbol
_atom_site_fract_x
_atom_site_fract_y
_atom_site_fract_z
Dy1 Dy 0.0000 0.0000 0.0000
Co1 Co 0.0000 0.5000 0.2506
Ge1 Ge 0.0000 0.0000 0.3448
Ge2 Ge 0.3333 0.6667 0.0000
Ge3 Ge 0.3333 0.6667 0.5000
```

[9]
This entry pairs a crystal structure of DyCo2Ge2 with its calculated powder XRD pattern. Radiation: Cu Ka. Structure: a cell relaxed with PBE.
Kinematic intensities with the Lorentz-polarization factor, no thermal factor.

Main lines, in order of rising 2θ (15° ≤ 2θ ≤ 90°):
d [Å], I/Imax
3.691, 10
2.803, 29
2.570, 100
2.452, 92
1.982, 59
1.804, 31
1.569, 44
1.446, 20
1.401, 18
1.334, 23
1.230, 10
1.217, 19

Structure:
```
data_DyCo2Ge2
_cell_length_a 3.964
_cell_length_b 3.964
_cell_length_c 10.130
_cell_angle_alpha 90.00
_cell_angle_beta 90.00
_cell_angle_gamma 90.00
_symmetry_space_group_name_H-M 'I 4/m m m'
_symmetry_Int_Tables_number 139
_symmetry_space_group_name_Hall '-I 4 2'
loop_
_atom_site_label
_atom_site_type_symbol
_atom_site_fract_x
_atom_site_fract_y
_atom_site_fract_z
Dy1 Dy 0.000 0.000 0.000
Co1 Co 0.000 0.500 0.250
Ge1 Ge 0.000 0.000 0.372
```

[10]
This entry pairs a crystal structure of Dy7InCo4Ge12 with its calculated powder XRD pattern. Radiation: Cu Ka. Structure: a cell relaxed with PBE.
Kinematic intensities with the Lorentz-polarization factor, no thermal factor.

Main lines, in order of rising 2θ (15° ≤ 2θ ≤ 90°):
d [Å], I/Imax
2.676, 20
2.592, 100
2.380, 30
2.328, 25
2.101, 26
2.082, 11
1.934, 12
1.643, 13
1.560, 14
1.423, 9
1.390, 11
1.289, 11

Structure:
```
data_Dy7InCo4Ge12
_cell_length_a 10.412
_cell_length_b 10.412
_cell_length_c 4.202
_cell_angle_alpha 90.00
_cell_angle_beta 90.00
_cell_angle_gamma 90.00
_symmetry_space_group_name_H-M 'P 4/m'
_symmetry_Int_Tables_number 83
_symmetry_space_group_name_Hall '-P 4'
loop_
_atom_site_label
_atom_site_type_symbol
_atom_site_fract_x
_atom_site_fract_y
_atom_site_fract_z
Dy1 Dy 0.000 0.000 0.000
Dy2 Dy 0.000 0.500 0.500
Dy3 Dy 0.323 0.674 0.500
In1 In 0.500 0.500 0.000
Co1 Co 0.118 0.279 0.000
Ge1 Ge 0.065 0.195 0.500
Ge2 Ge 0.113 0.714 0.000
Ge3 Ge 0.214 0.487 0.000
```

[11]
This entry pairs a crystal structure of Dy2Co2I with its calculated powder XRD pattern. Radiation: Cu Ka. Structure: a cell relaxed with PBE.
Kinematic intensities with the Lorentz-polarization factor, no thermal factor.

Main lines, in order of rising 2θ (15° ≤ 2θ ≤ 90°):
d [Å], I/Imax
3.412, 23
3.345, 13
2.919, 10
2.655, 100
2.173, 19
2.113, 9
1.970, 46
1.582, 21
1.515, 11
1.441, 15
1.234, 18
1.138, 12

Structure:
```
data_Dy2Co2I
_cell_length_a 3.9400
_cell_length_b 3.9400
_cell_length_c 16.9066
_cell_angle_alpha 90.00
_cell_angle_beta 90.00
_cell_angle_gamma 120.00
_symmetry_space_group_name_H-M 'P 63/m m c'
_symmetry_Int_Tables_number 194
_symmetry_space_group_name_Hall '-P 6c 2c'
loop_
_atom_site_label
_atom_site_type_symbol
_atom_site_fract_x
_atom_site_fract_y
_atom_site_fract_z
Dy1 Dy 0.0000 0.0000 0.1036
Co1 Co 0.3333 0.6667 0.0019
I1 I 0.3333 0.6667 0.7500
```

[12]
This entry pairs a crystal structure of DyInCo2 with its calculated powder XRD pattern. Radiation: Cu Ka. Structure: a cell relaxed with PBE.
Kinematic intensities with the Lorentz-polarization factor, no thermal factor.

Main lines, in order of rising 2θ (15° ≤ 2θ ≤ 90°):
d [Å], I/Imax
2.869, 100
2.667, 20
2.505, 28
2.378, 19
2.354, 63
2.149, 26
2.049, 23
2.037, 19
2.008, 30
1.894, 16
1.467, 15
1.366, 18

Structure:
```
data_DyInCo2
_cell_length_a 5.010
_cell_length_b 4.016
_cell_length_c 7.135
_cell_angle_alpha 90.00
_cell_angle_beta 90.00
_cell_angle_gamma 90.00
_symmetry_space_group_name_H-M 'P m m a'
_symmetry_Int_Tables_number 51
_symmetry_space_group_name_Hall '-P 2a 2a'
loop_
_atom_site_label
_atom_site_type_symbol
_atom_site_fract_x
_atom_site_fract_y
_atom_site_fract_z
Dy1 Dy 0.250 0.000 0.220
In1 In 0.250 0.500 0.852
Co1 Co 0.000 0.500 0.500
Co2 Co 0.250 0.000 0.591
```